The following is a calculated X-ray powder pattern of MnInO3. It was derived from a cell relaxed with PBE+U, using Cu Kα.

Cell and atoms:
Cell: 3.4621 3.4621 11.8254 Å, 90.00 90.00 120.00°
Space group P6_3/mmc (No. 194)
Inequivalent atoms, fractional coordinates:
Mn (0.3333, 0.6667, 0.2500) [2 per cell]
In (0.0000, 0.0000, 0.0000) [2 per cell]
O (0.0000, 0.0000, 0.2500) [2 per cell]
O (0.3333, 0.6667, 0.0845) [4 per cell]

Peak list (10 most intense, 10° ≤ 2θ ≤ 90°, in order of rising 2θ)
hkl	2theta	Rel. int.
0 0 2	15.0	28
1 0 0	29.8	37
0 0 4	30.2	45
1 0 1	30.8	36
1 0 2	33.5	100
1 0 4	43.0	44
1 1 0	52.9	42
1 0 6	55.8	32
1 1 4	62.1	32
2 0 2	64.1	16